Theoretical PXRD pattern
Compound: WBr4O
Radiation: λ = 1.5418 Å (Cu Kα)
Structure: a structure optimized by DFT (GGA+U)
Neutral-atom scattering factors, no anomalous dispersion.

Cell and atoms:
```
WBr4O
1.0
10.157 0.000 0.000
0.000 10.157 0.000
0.000 0.000 3.841
W Br O
2 8 2
Cartesian
0.000 0.000 0.000
5.078 5.078 1.920
0.605 7.735 0.000
2.421 0.605 0.000
2.657 4.474 1.920
4.474 7.500 1.920
5.683 2.657 1.920
7.500 5.683 1.920
7.735 9.552 0.000
9.552 2.421 0.000
0.000 0.000 1.920
5.078 5.078 0.000
```

Most intense lines, 2θ from 5° to 70°, sorted by position:
(1 1 0), 12.3°, I = 100.0
(2 0 0), 17.5°, I = 22.8
(1 0 1), 24.8°, I = 90.0
(3 1 0), 27.8°, I = 44.7
(4 0 0), 35.3°, I = 35.3
(4 2 0), 39.7°, I = 32.6
(4 1 1), 43.7°, I = 47.2
(3 4 1), 50.8°, I = 25.1
(3 5 0), 52.5°, I = 14.4
(4 2 2), 63.4°, I = 17.5